[1]
Diffraction record for PrAs2Rh7Pb2. The powder diffractogram is calculated, not measured: it uses a cell relaxed with PBE and Cu Kα (λ = 1.5418 Å).
Kinematic intensities with the Lorentz-polarization factor, no thermal factor.

Principal peaks in the range 2θ = 15–90°, in order of rising 2θ:
Position (°2θ), intensity
27.95, 273
31.36, 294
31.91, 595
32.02, 358
32.40, 288
34.81, 644
35.38, 883
36.92, 727
44.89, 1000
45.32, 426

Crystal structure
Lattice parameters (Å, degrees): 4.048 4.048 14.125 94.93 94.93 89.60
Fractional positions:
Pr (0.000, 0.000, 0.000)
As (0.426, 0.426, 0.749)
As (0.574, 0.574, 0.251)
Rh (0.047, 0.546, 0.157)
Rh (0.381, 0.381, 0.576)
Rh (0.454, 0.953, 0.843)
Rh (0.500, 0.500, 0.000)
Rh (0.546, 0.047, 0.157)
Rh (0.619, 0.619, 0.424)
Rh (0.953, 0.454, 0.843)
Pb (0.106, 0.106, 0.389)
Pb (0.894, 0.894, 0.611)



[2]
Diffraction record for Pr4AsPbSe2. The powder diffractogram is calculated, not measured: it uses a cell relaxed with PBE and Cu Kα (λ = 1.5418 Å).
Kinematic intensities with the Lorentz-polarization factor, no thermal factor.

Principal peaks in the range 2θ = 15–90°, in order of rising 2θ:
Position (°2θ), intensity
28.85, 1000
41.17, 381
41.34, 378
51.09, 137
51.33, 67
59.76, 126
67.55, 115
67.81, 173
75.07, 84
75.20, 87

Crystal structure
Lattice parameters (Å, degrees): 7.555 4.380 7.603 90.00 109.53 90.00
Fractional positions:
Pr (0.246, 0.000, 0.240)
Pr (0.254, 0.500, 0.760)
Pr (0.746, 0.500, 0.240)
Pr (0.754, 0.000, 0.760)
As (0.000, 0.500, 0.000)
Pb (0.000, 0.000, 0.500)
Se (0.500, 0.000, 0.000)
Se (0.500, 0.500, 0.500)



[3]
Diffraction record for Pr6As2PbSe3. The powder diffractogram is calculated, not measured: it uses a cell relaxed with PBE and Cu Kα (λ = 1.5418 Å).
Kinematic intensities with the Lorentz-polarization factor, no thermal factor.

Principal peaks in the range 2θ = 15–90°, in order of rising 2θ:
Position (°2θ), intensity
29.03, 1000
41.47, 374
41.58, 379
51.32, 65
51.51, 201
60.17, 124
68.10, 166
68.26, 171
75.56, 60
75.82, 189

Crystal structure
Lattice parameters (Å, degrees): 9.718 9.718 8.711 102.75 102.75 25.83
Fractional positions:
Pr (0.003, 0.003, 0.261)
Pr (0.329, 0.329, 0.906)
Pr (0.330, 0.330, 0.423)
Pr (0.670, 0.670, 0.577)
Pr (0.671, 0.671, 0.094)
Pr (0.997, 0.997, 0.739)
As (0.168, 0.168, 0.335)
As (0.832, 0.832, 0.665)
Pb (0.500, 0.500, 0.000)
Se (0.165, 0.165, 0.832)
Se (0.500, 0.500, 0.500)
Se (0.835, 0.835, 0.168)